Structure and computed X-ray diffraction stick pattern of Al5Ru4Au (a structure optimized by DFT (GGA-PBE); copper Kα).

Most intense lines, 10 to 90 degrees two-theta, most intense first:
2.141 Å, rel. 100, hkl 1 0 5; 3.065 Å, rel. 56, hkl 1 0 0; 2.167 Å, rel. 52, hkl 1 1 0; 1.246 Å, rel. 34, hkl 2 1 5; 2.993 Å, rel. 27, hkl 0 0 5; 1.755 Å, rel. 23, hkl 1 1 5

Structure:
Cell: 3.065 3.065 14.963 Å, 90.00 90.00 90.00°
Fractional coordinates of all 10 atoms:
Al (0.000, 0.000, 0.000)
Al (0.000, 0.000, 0.196)
Al (0.000, 0.000, 0.384)
Al (0.000, 0.000, 0.616)
Al (0.000, 0.000, 0.804)
Ru (0.500, 0.500, 0.099)
Ru (0.500, 0.500, 0.299)
Ru (0.500, 0.500, 0.701)
Ru (0.500, 0.500, 0.901)
Au (0.500, 0.500, 0.500)

***

Structure and computed X-ray diffraction stick pattern of AlAuS2 (a structure optimized by DFT (GGA-PBE); copper Kα).

Most intense lines, 10 to 90 degrees two-theta, most intense first:
5.157 Å, rel. 100, hkl 0 2 0; 5.411 Å, rel. 91, hkl 1 1 0; 3.028 Å, rel. 67, hkl 0 0 2; 2.646 Å, rel. 63, hkl 1 1 2; 2.141 Å, rel. 47, hkl 1 3 2; 2.706 Å, rel. 39, hkl 2 2 0

Structure:
Cell: 6.356 10.313 6.066 Å, 90.00 90.00 90.00°
Fractional coordinates of all 16 atoms:
Al (0.000, 0.000, 0.250)
Al (0.000, 0.000, 0.750)
Al (0.500, 0.500, 0.250)
Al (0.500, 0.500, 0.750)
Au (0.000, 0.500, 0.000)
Au (0.000, 0.500, 0.500)
Au (0.500, 0.000, 0.000)
Au (0.500, 0.000, 0.500)
S (0.187, 0.122, 0.000)
S (0.187, 0.878, 0.500)
S (0.313, 0.378, 0.500)
S (0.313, 0.622, 0.000)
S (0.687, 0.378, 0.000)
S (0.687, 0.622, 0.500)
S (0.813, 0.122, 0.500)
S (0.813, 0.878, 0.000)